1.
The following is a calculated powder X-ray diffraction pattern of TbErCo2Pb. It was derived from a DFT-relaxed cell (GGA-PBE, OQMD), using copper Kα.
No peak broadening, texture or thermal motion is included.

Structure:
```
5
Lattice="3.835 0.000 0.000 0.000 1.917 7.032 0.000 -1.917 7.032" Properties=species:S:1:pos:R:3 pbc="T T T"
Tb 0.000 0.000 0.000
Er 0.000 0.000 10.103
Co 1.918 0.000 2.176
Co 1.918 0.000 7.972
Pb 1.918 0.000 5.040
```

Most intense lines, 10° ≤ 2θ ≤ 90°, in order of rising 2θ:
2θ 30.1, intensity 54
2θ 33.7, intensity 100
2θ 34.6, intensity 74
2θ 38.4, intensity 25
2θ 39.7, intensity 28
2θ 47.4, intensity 41
2θ 57.1, intensity 20
2θ 57.2, intensity 18
2θ 60.0, intensity 30
2θ 79.3, intensity 17

2.
The following is a calculated powder X-ray diffraction pattern of Li2Sc2AlGaNi2. It was derived from a DFT-relaxed cell (GGA-PBE, OQMD), using copper Kα.
No peak broadening, texture or thermal motion is included.

Structure:
```
8
Lattice="4.344 0.000 0.000 0.000 4.344 0.000 0.000 0.000 6.148" Properties=species:S:1:pos:R:3 pbc="T T T"
Li 0.000 2.172 1.516
Li 2.172 0.000 4.631
Sc 0.000 0.000 3.074
Sc 2.172 2.172 0.000
Al 2.172 2.172 3.074
Ga 0.000 0.000 0.000
Ni 0.000 2.172 4.589
Ni 2.172 0.000 1.558
```

Most intense lines, 10° ≤ 2θ ≤ 90°, in order of rising 2θ:
2θ 14.4, intensity 4
2θ 20.4, intensity 4
2θ 25.1, intensity 35
2θ 29.1, intensity 3
2θ 41.6, intensity 100
2θ 49.2, intensity 16
2θ 60.2, intensity 16
2θ 66.3, intensity 6
2θ 75.8, intensity 30
2θ 81.4, intensity 4

3.
The following is a calculated powder X-ray diffraction pattern of Ir3Pd3W2. It was derived from a DFT-relaxed cell (GGA-PBE, OQMD), using copper Kα.
No peak broadening, texture or thermal motion is included.

Structure:
```
8
Lattice="5.543 0.000 0.000 -2.771 4.800 0.000 0.000 0.000 4.478" Properties=species:S:1:pos:R:3 pbc="T T T"
Ir -1.373 2.408 0.000
Ir 1.373 2.408 0.000
Ir 0.000 4.786 0.000
Pd 1.373 0.793 2.239
Pd 4.170 0.793 2.239
Pd 2.771 3.215 2.239
W 0.000 0.000 0.000
W 0.000 3.200 2.239
```

Most intense lines, 10° ≤ 2θ ≤ 90°, in order of rising 2θ:
2θ 19.8, intensity 5
2θ 37.5, intensity 26
2θ 40.3, intensity 26
2θ 42.7, intensity 100
2θ 56.2, intensity 17
2θ 67.6, intensity 17
2θ 74.9, intensity 19
2θ 79.9, intensity 3
2θ 81.7, intensity 20
2θ 83.4, intensity 15

4.
The following is a calculated powder X-ray diffraction pattern of TcIr2Os. It was derived from a DFT-relaxed cell (GGA-PBE, OQMD), using copper Kα.
No peak broadening, texture or thermal motion is included.

Structure:
```
4
Lattice="0.000 3.100 3.100 3.100 0.000 3.100 3.100 3.100 0.000" Properties=species:S:1:pos:R:3 pbc="T T T"
Tc 0.000 0.000 0.000
Ir 1.550 1.550 1.550
Ir 3.100 3.100 3.100
Os 4.649 4.649 4.649
```

Most intense lines, 10° ≤ 2θ ≤ 90°, in order of rising 2θ:
2θ 24.9, intensity 4
2θ 28.8, intensity 2
2θ 41.2, intensity 100
2θ 48.7, intensity 2
2θ 59.7, intensity 17
2θ 65.6, intensity 1
2θ 67.6, intensity 1
2θ 75.1, intensity 35
2θ 80.5, intensity 1
2θ 89.4, intensity 12

5.
The following is a calculated powder X-ray diffraction pattern of PrSm2GaBr3. It was derived from a DFT-relaxed cell (GGA-PBE, OQMD), using copper Kα.
No peak broadening, texture or thermal motion is included.

Structure:
```
7
Lattice="5.967 0.000 0.000 0.000 5.967 0.000 0.000 0.000 5.972" Properties=species:S:1:pos:R:3 pbc="T T T"
Pr 0.000 0.000 0.000
Sm 0.000 2.984 2.986
Sm 2.984 0.000 2.986
Ga 0.000 0.000 2.986
Br 0.000 2.984 0.000
Br 2.984 0.000 0.000
Br 2.984 2.984 2.986
```

Most intense lines, 10° ≤ 2θ ≤ 90°, in order of rising 2θ:
2θ 14.8, intensity 17
2θ 21.0, intensity 20
2θ 29.9, intensity 100
2θ 33.6, intensity 10
2θ 36.9, intensity 10
2θ 42.9, intensity 74
2θ 53.2, intensity 26
2θ 62.2, intensity 12
2θ 70.6, intensity 33
2θ 78.5, intensity 25

6.
The following is a calculated powder X-ray diffraction pattern of PrY2In3Co3. It was derived from a DFT-relaxed cell (GGA-PBE, OQMD), using copper Kα.
No peak broadening, texture or thermal motion is included.

Structure:
```
9
Lattice="3.884 0.000 0.000 0.000 6.418 3.732 0.000 -6.418 3.732" Properties=species:S:1:pos:R:3 pbc="T T T"
Pr 0.000 0.000 0.000
Y 0.000 -2.632 4.612
Y 0.000 2.632 4.612
In 1.942 -1.645 2.168
In 1.942 1.645 2.168
In 1.942 0.000 4.920
Co 0.000 0.000 3.092
Co 1.942 -4.257 3.081
Co 1.942 4.257 3.081
```

Most intense lines, 10° ≤ 2θ ≤ 90°, in order of rising 2θ:
2θ 33.4, intensity 100
2θ 36.2, intensity 50
2θ 36.3, intensity 27
2θ 36.8, intensity 23
2θ 37.0, intensity 38
2θ 42.0, intensity 14
2θ 43.9, intensity 16
2θ 46.8, intensity 23
2θ 61.0, intensity 20
2θ 68.0, intensity 17

7.
The following is a calculated powder X-ray diffraction pattern of Ta2Sn2Os3. It was derived from a DFT-relaxed cell (GGA-PBE, OQMD), using copper Kα.
No peak broadening, texture or thermal motion is included.

Structure:
```
7
Lattice="2.240 1.293 7.273 -2.240 1.293 7.273 0.000 -2.586 7.273" Properties=species:S:1:pos:R:3 pbc="T T T"
Ta 0.000 0.000 0.000
Ta 0.000 0.000 10.763
Sn 0.000 0.000 5.203
Sn 0.000 0.000 16.394
Os 0.000 0.000 8.078
Os 0.000 0.000 13.564
Os 0.000 0.000 19.067
```

Most intense lines, 10° ≤ 2θ ≤ 90°, in order of rising 2θ:
2θ 12.2, intensity 12
2θ 24.4, intensity 13
2θ 40.3, intensity 100
2θ 40.4, intensity 95
2θ 58.4, intensity 33
2θ 73.2, intensity 18
2θ 73.3, intensity 34
2θ 73.6, intensity 15
2θ 87.0, intensity 12
2θ 87.4, intensity 10

8.
The following is a calculated powder X-ray diffraction pattern of La2Mg4NiPt. It was derived from a DFT-relaxed cell (GGA-PBE, OQMD), using copper Kα.
No peak broadening, texture or thermal motion is included.

Structure:
```
8
Lattice="8.336 0.000 0.000 0.000 2.129 5.163 0.000 -2.129 5.163" Properties=species:S:1:pos:R:3 pbc="T T T"
La 0.000 0.000 0.000
La 4.168 0.000 1.250
Mg 1.591 0.000 7.373
Mg 2.510 0.000 4.181
Mg 5.826 0.000 4.181
Mg 6.745 0.000 7.373
Ni 0.000 0.000 2.948
Pt 4.168 0.000 8.609
```

Most intense lines, 10° ≤ 2θ ≤ 90°, in order of rising 2θ:
2θ 10.6, intensity 25
2θ 21.3, intensity 75
2θ 22.6, intensity 45
2θ 31.3, intensity 74
2θ 35.2, intensity 100
2θ 36.4, intensity 39
2θ 42.5, intensity 25
2θ 47.1, intensity 39
2θ 57.2, intensity 21
2θ 66.0, intensity 26

9.
The following is a calculated powder X-ray diffraction pattern of TlAg3Te4Mo. It was derived from a DFT-relaxed cell (GGA-PBE, OQMD), using copper Kα.
No peak broadening, texture or thermal motion is included.

Structure:
```
9
Lattice="6.715 0.000 0.000 0.000 6.715 0.000 0.000 0.000 6.715" Properties=species:S:1:pos:R:3 pbc="T T T"
Tl 0.000 0.000 0.000
Ag 0.000 3.357 3.357
Ag 3.357 0.000 3.357
Ag 3.357 3.357 0.000
Te 1.827 1.827 1.827
Te 1.827 4.888 4.888
Te 4.888 1.827 4.888
Te 4.888 4.888 1.827
Mo 3.357 3.357 3.357
```

Most intense lines, 10° ≤ 2θ ≤ 90°, in order of rising 2θ:
2θ 18.7, intensity 19
2θ 22.9, intensity 87
2θ 32.7, intensity 12
2θ 37.9, intensity 100
2θ 44.8, intensity 41
2θ 54.7, intensity 16
2θ 60.1, intensity 15
2θ 68.4, intensity 30
2θ 73.2, intensity 11
2θ 85.6, intensity 10

10.
The following is a calculated powder X-ray diffraction pattern of Hf2AlBiPd2. It was derived from a DFT-relaxed cell (GGA-PBE, OQMD), using copper Kα.
No peak broadening, texture or thermal motion is included.

Structure:
```
12
Lattice="-3.160 3.160 6.309 3.160 -3.160 6.309 3.160 3.160 -6.309" Properties=species:S:1:pos:R:3 pbc="T T T"
Hf 0.000 0.000 3.092
Hf 0.000 3.160 0.063
Hf 0.000 0.000 9.527
Hf 0.000 3.160 6.246
Al 0.000 0.000 0.000
Al 0.000 3.160 3.155
Bi 3.160 0.000 3.155
Bi 0.000 0.000 6.309
Pd 4.740 1.472 -1.577
Pd 1.472 1.580 1.577
Pd -1.580 1.688 4.732
Pd 1.688 1.580 7.887
```

Most intense lines, 10° ≤ 2θ ≤ 90°, in order of rising 2θ:
2θ 15.7, intensity 12
2θ 24.4, intensity 24
2θ 25.4, intensity 9
2θ 28.3, intensity 27
2θ 40.4, intensity 100
2θ 47.8, intensity 11
2θ 50.0, intensity 8
2θ 58.4, intensity 11
2θ 73.4, intensity 34
2θ 87.3, intensity 11

11.
The following is a calculated powder X-ray diffraction pattern of ErAgGeSeS2. It was derived from a DFT-relaxed cell (GGA-PBE, OQMD), using copper Kα.
No peak broadening, texture or thermal motion is included.

Structure:
```
12
Lattice="1.932 -6.380 0.000 1.932 6.380 0.000 0.000 0.000 10.834" Properties=species:S:1:pos:R:3 pbc="T T T"
Er 0.000 0.000 0.000
Er 0.000 0.000 5.417
Ag 1.932 0.451 8.126
Ag 1.932 -0.451 2.709
Ge 1.932 3.409 2.709
Ge 1.932 -3.409 8.126
Se 1.932 4.930 8.126
Se 1.932 -4.930 2.709
S 1.932 1.788 6.066
S 1.932 1.788 10.185
S 1.932 -1.788 0.649
S 1.932 -1.788 4.768
```

Most intense lines, 10° ≤ 2θ ≤ 90°, in order of rising 2θ:
2θ 13.9, intensity 66
2θ 21.5, intensity 18
2θ 29.2, intensity 39
2θ 32.4, intensity 47
2θ 33.1, intensity 44
2θ 35.5, intensity 100
2θ 45.8, intensity 38
2θ 47.0, intensity 21
2θ 58.7, intensity 18
2θ 60.6, intensity 19

12.
The following is a calculated powder X-ray diffraction pattern of SmSi2NiGe. It was derived from a DFT-relaxed cell (GGA-PBE, OQMD), using copper Kα.
No peak broadening, texture or thermal motion is included.

Structure:
```
10
Lattice="2.033 -10.682 0.000 2.033 10.682 0.000 0.000 0.000 4.025" Properties=species:S:1:pos:R:3 pbc="T T T"
Sm 2.033 7.057 0.000
Sm 2.033 -7.057 0.000
Si 2.033 4.664 2.013
Si 2.033 1.204 0.000
Si 2.033 -1.204 0.000
Si 2.033 -4.664 2.013
Ni 2.033 2.374 2.013
Ni 2.033 -2.374 2.013
Ge 2.033 9.463 2.013
Ge 2.033 -9.463 2.013
```

Most intense lines, 10° ≤ 2θ ≤ 90°, in order of rising 2θ:
2θ 16.6, intensity 19
2θ 23.6, intensity 19
2θ 33.6, intensity 48
2θ 33.8, intensity 100
2θ 44.2, intensity 32
2θ 44.6, intensity 22
2θ 45.0, intensity 22
2θ 57.0, intensity 21
2θ 64.9, intensity 20
2θ 65.2, intensity 14

13.
The following is a calculated powder X-ray diffraction pattern of NaHfB4. It was derived from a DFT-relaxed cell (GGA-PBE, OQMD), using copper Kα.
No peak broadening, texture or thermal motion is included.

Structure:
```
6
Lattice="3.134 0.000 0.000 -1.567 2.714 0.000 0.000 0.000 7.662" Properties=species:S:1:pos:R:3 pbc="T T T"
Na 0.000 0.000 0.000
Hf 0.000 0.000 3.831
B 0.000 1.809 2.137
B 0.000 1.809 5.525
B 1.567 0.905 2.137
B 1.567 0.905 5.525
```

Most intense lines, 10° ≤ 2θ ≤ 90°, in order of rising 2θ:
2θ 11.5, intensity 100
2θ 23.2, intensity 22
2θ 33.0, intensity 35
2θ 35.1, intensity 44
2θ 40.7, intensity 53
2θ 49.0, intensity 17
2θ 59.0, intensity 24
2θ 60.3, intensity 9
2θ 64.2, intensity 9
2θ 70.5, intensity 10

14.
The following is a calculated powder X-ray diffraction pattern of YErFe2. It was derived from a DFT-relaxed cell (GGA-PBE, OQMD), using copper Kα.
No peak broadening, texture or thermal motion is included.

Structure:
```
8
Lattice="3.740 0.000 0.000 0.000 5.593 0.000 0.000 0.000 7.741" Properties=species:S:1:pos:R:3 pbc="T T T"
Y 0.000 0.768 0.000
Y 0.000 4.825 3.871
Er 1.870 2.029 2.755
Er 1.870 3.564 6.625
Fe 0.000 1.973 5.010
Fe 0.000 3.620 1.139
Fe 1.870 0.897 5.461
Fe 1.870 4.696 1.591
```

Most intense lines, 10° ≤ 2θ ≤ 90°, in order of rising 2θ:
2θ 31.0, intensity 99
2θ 33.3, intensity 100
2θ 34.1, intensity 95
2θ 37.1, intensity 70
2θ 38.4, intensity 82
2θ 42.0, intensity 89
2θ 48.7, intensity 38
2θ 60.4, intensity 34
2θ 60.8, intensity 35
2θ 63.7, intensity 36

15.
The following is a calculated powder X-ray diffraction pattern of PrDy2Si4Ni2Au2. It was derived from a DFT-relaxed cell (GGA-PBE, OQMD), using copper Kα.
No peak broadening, texture or thermal motion is included.

Structure:
```
11
Lattice="-2.037 2.088 12.085 2.037 -2.088 12.085 2.037 2.088 -12.085" Properties=species:S:1:pos:R:3 pbc="T T T"
Pr 0.000 0.000 0.000
Dy 2.037 0.000 8.298
Dy 0.000 2.088 3.786
Si 2.037 0.000 4.948
Si 0.000 0.000 10.887
Si 0.000 0.000 13.282
Si 0.000 2.088 7.137
Ni 0.000 0.000 6.044
Ni 0.000 0.000 18.125
Au 2.037 0.000 2.486
Au 0.000 2.088 9.599
```

Most intense lines, 10° ≤ 2θ ≤ 90°, in order of rising 2θ:
2θ 14.7, intensity 15
2θ 28.7, intensity 34
2θ 30.7, intensity 19
2θ 34.0, intensity 23
2θ 34.1, intensity 100
2θ 39.9, intensity 34
2θ 43.3, intensity 23
2θ 44.5, intensity 21
2θ 61.3, intensity 20
2θ 63.8, intensity 14